(1)
# Cs3RbCr2F9
Theoretical X-ray powder pattern, Cu Kα. Input: the GGA+U geometry in Alexandria.

Structure:
```
Cs3RbCr2F9
1.0
6.354 0.000 0.000
-3.177 5.503 0.000
0.000 0.000 8.068
Cs Rb Cr F
3 1 2 9
Direct
0.000 0.000 0.000
0.333 0.667 0.665
0.667 0.333 0.335
0.000 0.000 0.500
0.333 0.667 0.142
0.667 0.333 0.858
0.000 0.500 0.000
0.187 0.374 0.286
0.187 0.813 0.286
0.374 0.187 0.714
0.500 0.000 0.000
0.500 0.500 0.000
0.626 0.813 0.286
0.813 0.187 0.714
0.813 0.626 0.714
```

Top 10 peaks for 2θ = 10–90°, sorted by position:
27.41°, I 1000
28.09°, I 915
34.44°, I 256
39.65°, I 677
48.04°, I 200
49.30°, I 353
49.71°, I 178
56.58°, I 187
58.07°, I 207
64.34°, I 197

***

(2)
# Cs2RbCr2F7
Theoretical X-ray powder pattern, Cu Kα. Input: the GGA+U geometry in Alexandria.

Structure:
```
Cs2RbCr2F7
1.0
3.148 -3.148 0.000
3.148 3.148 0.000
-3.135 0.000 11.313
Cs Rb Cr F
2 1 2 7
Direct
0.182 0.182 0.364
0.818 0.818 0.636
0.000 0.000 0.000
0.410 0.410 0.819
0.590 0.590 0.181
0.089 0.589 0.179
0.321 0.321 0.640
0.411 0.911 0.821
0.500 0.500 0.000
0.589 0.089 0.179
0.679 0.679 0.360
0.911 0.411 0.821
```

Top 10 peaks for 2θ = 10–90°, sorted by position:
23.20°, I 204
28.12°, I 1000
28.35°, I 725
37.21°, I 398
40.53°, I 495
50.06°, I 397
58.14°, I 130
58.66°, I 153
64.81°, I 112
66.41°, I 122

***

(3)
# CsCrSbF6
Theoretical X-ray powder pattern, Cu Kα. Input: the GGA+U geometry in Alexandria.

Structure:
```
CsCrSbF6
1.0
5.714 0.000 0.000
-2.309 5.436 0.000
-0.072 -0.120 6.038
Cs Cr Sb F
1 1 1 6
Direct
0.000 0.000 0.000
0.320 0.690 0.542
0.689 0.342 0.502
0.030 0.735 0.393
0.046 0.463 0.742
0.358 0.340 0.357
0.505 0.117 0.749
0.571 0.945 0.349
0.607 0.604 0.692
```

Top 10 peaks for 2θ = 10–90°, sorted by position:
14.67°, I 270
21.78°, I 556
22.22°, I 940
22.63°, I 438
23.55°, I 1000
27.84°, I 347
29.59°, I 269
30.55°, I 304
31.47°, I 298
40.58°, I 301